The following is a simulated powder X-ray diffraction pattern of Tm2Nb2S. It was derived from a structure optimized by DFT (PBE), using Cu Kα, 1.54184 Å.

Top 6 peaks for 5 to 70 degrees two-theta, in order of rising 2θ:
- 2θ = 21.62°, I 55
- 2θ = 31.29°, I 74
- 2θ = 31.82°, I 57
- 2θ = 32.02°, I 71
- 2θ = 32.89°, I 100
- 2θ = 47.34°, I 43

Cell and atoms:
a = 9.6107 Å, b = 6.0662 Å, c = 10.9011 Å
α = 61.42°, β = 33.66°, γ = 84.92°
Fractional positions:
Tm 0.0856 0.9144 0.0867
Tm 0.1633 0.3367 0.1644
Tm 0.3367 0.1633 0.3356
Tm 0.9144 0.0856 0.9133
Nb 0.2942 0.7173 0.7070
Nb 0.5430 0.9685 0.9558
Nb 0.7173 0.2942 0.2815
Nb 0.9685 0.5430 0.5327
S 0.4997 0.4997 0.5003
S 0.7497 0.7497 0.7503


The following is a simulated powder X-ray diffraction pattern of Ni2Sn8Se. It was derived from a structure optimized by DFT (PBE), using Cu Kα, 1.54184 Å.

Top 6 peaks for 5 to 70 degrees two-theta, in order of rising 2θ:
- 2θ = 30.47°, I 38
- 2θ = 32.85°, I 72
- 2θ = 33.81°, I 100
- 2θ = 36.49°, I 37
- 2θ = 40.19°, I 36
- 2θ = 55.29°, I 32

Cell and atoms:
a = 10.4475 Å, b = 10.4475 Å, c = 9.6571 Å
α = 90.00°, β = 90.00°, γ = 90.00°
Fractional positions:
Ni 0.2147 0.2147 0.2370
Ni 0.2147 0.2147 0.7630
Ni 0.2853 0.7147 0.2630
Ni 0.2853 0.7147 0.7370
Ni 0.7147 0.2853 0.2630
Ni 0.7147 0.2853 0.7370
Ni 0.7853 0.7853 0.2370
Ni 0.7853 0.7853 0.7630
Sn 0.0000 0.0000 0.3265
Sn 0.0000 0.0000 0.6735
Sn 0.0372 0.7100 0.1993
Sn 0.0372 0.7100 0.8007
Sn 0.1026 0.1026 0.0000
Sn 0.1825 0.1825 0.5000
Sn 0.1841 0.8159 0.5000
Sn 0.2100 0.4628 0.3007
Sn 0.2100 0.4628 0.6993
Sn 0.2900 0.9628 0.1993
Sn 0.2900 0.9628 0.8007
Sn 0.3159 0.3159 0.0000
Sn 0.3175 0.6825 0.0000
Sn 0.3974 0.6026 0.5000
Sn 0.4628 0.2100 0.3007
Sn 0.4628 0.2100 0.6993
Sn 0.5000 0.5000 0.1735
Sn 0.5000 0.5000 0.8265
Sn 0.5372 0.7900 0.3007
Sn 0.5372 0.7900 0.6993
Sn 0.6026 0.3974 0.5000
Sn 0.6825 0.3175 0.0000
Sn 0.6841 0.6841 0.0000
Sn 0.7100 0.0372 0.1993
Sn 0.7100 0.0372 0.8007
Sn 0.7900 0.5372 0.3007
Sn 0.7900 0.5372 0.6993
Sn 0.8159 0.1841 0.5000
Sn 0.8175 0.8175 0.5000
Sn 0.8974 0.8974 0.0000
Sn 0.9628 0.2900 0.1993
Sn 0.9628 0.2900 0.8007
Se 0.0000 0.5000 0.0000
Se 0.0000 0.5000 0.5000
Se 0.5000 0.0000 0.0000
Se 0.5000 0.0000 0.5000


The following is a simulated powder X-ray diffraction pattern of HfCu2TeS2. It was derived from a structure optimized by DFT (PBE), using Cu Kα, 1.54184 Å.

Top 6 peaks for 5 to 70 degrees two-theta, in order of rising 2θ:
- 2θ = 13.00°, I 98
- 2θ = 21.16°, I 49
- 2θ = 27.18°, I 100
- 2θ = 31.17°, I 67
- 2θ = 35.02°, I 48
- 2θ = 47.37°, I 39

Cell and atoms:
a = 9.7833 Å, b = 9.7833 Å, c = 6.8869 Å
α = 98.49°, β = 98.49°, γ = 22.62°
Fractional positions:
Hf 0.1590 0.1590 0.0583
Hf 0.8410 0.8410 0.9417
Cu 0.2016 0.2016 0.4890
Cu 0.4494 0.4494 0.8439
Cu 0.5506 0.5506 0.1561
Cu 0.7984 0.7984 0.5110
Te 0.4170 0.4170 0.2028
Te 0.5830 0.5830 0.7972
S 0.0914 0.0914 0.3283
S 0.2553 0.2553 0.7959
S 0.7447 0.7447 0.2041
S 0.9086 0.9086 0.6717


The following is a simulated powder X-ray diffraction pattern of ZrHg2Bi. It was derived from a structure optimized by DFT (PBE), using Cu Kα, 1.54184 Å.

Top 6 peaks for 5 to 70 degrees two-theta, in order of rising 2θ:
- 2θ = 20.86°, I 5
- 2θ = 24.13°, I 3
- 2θ = 34.39°, I 100
- 2θ = 40.56°, I 3
- 2θ = 49.42°, I 18
- 2θ = 61.59°, I 38

Cell and atoms:
a = 5.2160 Å, b = 5.2160 Å, c = 5.2160 Å
α = 60.00°, β = 60.00°, γ = 60.00°
Fractional positions:
Zr 0.0000 0.0000 0.0000
Hg 0.2500 0.2500 0.2500
Hg 0.5000 0.5000 0.5000
Bi 0.7500 0.7500 0.7500


The following is a simulated powder X-ray diffraction pattern of Y5Er2Ni2Te2. It was derived from a structure optimized by DFT (PBE), using Cu Kα, 1.54184 Å.

Top 6 peaks for 5 to 70 degrees two-theta, in order of rising 2θ:
- 2θ = 30.28°, I 43
- 2θ = 32.86°, I 66
- 2θ = 33.96°, I 100
- 2θ = 34.43°, I 53
- 2θ = 47.13°, I 25
- 2θ = 58.66°, I 32

Cell and atoms:
a = 9.3744 Å, b = 9.3744 Å, c = 9.3744 Å
α = 156.26°, β = 66.94°, γ = 118.45°
Fractional positions:
Y 0.0000 0.0000 0.0000
Y 0.2868 0.4181 0.8687
Y 0.3040 0.6195 0.6845
Y 0.5494 0.4181 0.1313
Y 0.9350 0.6195 0.3155
Er 0.6218 0.2682 0.3536
Er 0.9147 0.2682 0.6464
Ni 0.1661 0.9277 0.2384
Ni 0.6894 0.9277 0.7616
Te 0.2642 0.7642 0.5000
Te 0.6643 0.6643 0.0000


The following is a simulated powder X-ray diffraction pattern of BaReH9. It was derived from a structure optimized by DFT (PBE), using Cu Kα, 1.54184 Å.

Top 6 peaks for 5 to 70 degrees two-theta, in order of rising 2θ:
- 2θ = 21.88°, I 58
- 2θ = 22.08°, I 70
- 2θ = 22.72°, I 81
- 2θ = 27.59°, I 100
- 2θ = 27.75°, I 83
- 2θ = 35.74°, I 63

Cell and atoms:
a = 5.0317 Å, b = 9.2483 Å, c = 5.0873 Å
α = 90.00°, β = 117.29°, γ = 90.00°
Fractional positions:
Ba 0.0000 0.0000 0.0000
Ba 0.0000 0.5000 0.0000
Re 0.3393 0.2500 0.6396
Re 0.6607 0.7500 0.3604
H 0.0284 0.1422 0.5071
H 0.0284 0.3578 0.5071
H 0.1635 0.2500 0.2698
H 0.2475 0.2500 0.9241
H 0.2967 0.7500 0.0921
H 0.4202 0.0867 0.8093
H 0.4202 0.4133 0.8093
H 0.4856 0.6420 0.5058
H 0.4856 0.8580 0.5058
H 0.5144 0.1420 0.4942
H 0.5144 0.3580 0.4942
H 0.5798 0.5867 0.1907
H 0.5798 0.9133 0.1907
H 0.7033 0.2500 0.9079
H 0.7525 0.7500 0.0759
H 0.8365 0.7500 0.7302
H 0.9716 0.6422 0.4929
H 0.9716 0.8578 0.4929


The following is a simulated powder X-ray diffraction pattern of HoErBr2O. It was derived from a structure optimized by DFT (PBE), using Cu Kα, 1.54184 Å.

Top 6 peaks for 5 to 70 degrees two-theta, in order of rising 2θ:
- 2θ = 8.77°, I 88
- 2θ = 28.36°, I 27
- 2θ = 33.58°, I 100
- 2θ = 39.23°, I 32
- 2θ = 50.22°, I 27
- 2θ = 61.77°, I 17

Cell and atoms:
a = 3.6334 Å, b = 3.6334 Å, c = 10.0799 Å
α = 90.00°, β = 90.00°, γ = 120.00°
Fractional positions:
Ho 0.0000 0.0000 0.0000
Er 0.3333 0.6667 0.2429
Br 0.0000 0.0000 0.4331
Br 0.3333 0.6667 0.8075
O 0.6667 0.3333 0.1268


The following is a simulated powder X-ray diffraction pattern of Cu2Ag. It was derived from a structure optimized by DFT (PBE), using Cu Kα, 1.54184 Å.

Top 6 peaks for 5 to 70 degrees two-theta, in order of rising 2θ:
- 2θ = 40.91°, I 97
- 2θ = 41.02°, I 100
- 2θ = 46.85°, I 65
- 2θ = 49.27°, I 29
- 2θ = 68.27°, I 9
- 2θ = 68.58°, I 10

Cell and atoms:
a = 12.5772 Å, b = 12.5772 Å, c = 12.5772 Å
α = 167.51°, β = 163.09°, γ = 21.08°
Fractional positions:
Cu 0.0000 0.0000 0.0000
Cu 0.1001 0.1001 0.0000
Cu 0.2168 0.2168 0.0000
Cu 0.3334 0.3334 0.0000
Cu 0.5501 0.5501 0.0000
Cu 0.8829 0.8829 0.0000
Ag 0.4417 0.4417 0.0000
Ag 0.6585 0.6585 0.0000
Ag 0.7748 0.7748 0.0000


The following is a simulated powder X-ray diffraction pattern of Lu2O3. It was derived from a structure optimized by DFT (PBE), using Cu Kα, 1.54184 Å.

Top 6 peaks for 5 to 70 degrees two-theta, in order of rising 2θ:
- 2θ = 21.15°, I 10
- 2θ = 30.08°, I 100
- 2θ = 34.87°, I 36
- 2θ = 44.91°, I 9
- 2θ = 50.14°, I 36
- 2θ = 59.59°, I 31

Cell and atoms:
a = 8.9130 Å, b = 8.9130 Å, c = 8.9130 Å
α = 109.47°, β = 109.47°, γ = 109.47°
Fractional positions:
Lu 0.0000 0.0000 0.5000
Lu 0.0000 0.5000 0.0000
Lu 0.0336 0.7500 0.7836
Lu 0.2164 0.9664 0.2500
Lu 0.2500 0.2164 0.9664
Lu 0.2500 0.7164 0.4664
Lu 0.2836 0.5336 0.7500
Lu 0.4664 0.2500 0.7164
Lu 0.5000 0.0000 0.0000
Lu 0.5000 0.5000 0.5000
Lu 0.5336 0.7500 0.2836
Lu 0.7164 0.4664 0.2500
Lu 0.7500 0.2836 0.5336
Lu 0.7500 0.7836 0.0336
Lu 0.7836 0.0336 0.7500
Lu 0.9664 0.2500 0.2164
O 0.0115 0.0444 0.2727
O 0.0328 0.4885 0.7611
O 0.0444 0.2727 0.0115
O 0.2273 0.2717 0.7389
O 0.2283 0.4556 0.4672
O 0.2389 0.9672 0.5115
O 0.2611 0.7727 0.7283
O 0.2717 0.7389 0.2273
O 0.2727 0.0115 0.0444
O 0.4556 0.4672 0.2283
O 0.4672 0.2283 0.4556
O 0.4885 0.7611 0.0328
O 0.5115 0.2389 0.9672
O 0.5328 0.7717 0.5444
O 0.5444 0.5328 0.7717
O 0.7273 0.9885 0.9556
O 0.7283 0.2611 0.7727
O 0.7389 0.2273 0.2717
O 0.7611 0.0328 0.4885
O 0.7717 0.5444 0.5328
O 0.7727 0.7283 0.2611
O 0.9556 0.7273 0.9885
O 0.9672 0.5115 0.2389
O 0.9885 0.9556 0.7273